Rb2AcAlTe4: theoretical powder diffraction line list (Cu Kα X-rays), based on the PBE geometry in Alexandria.
Lines closer than 0.1° are merged.

Largest 8 diffraction maxima, low angle first, 2θ = 10–90°:
2θ 11.7, I 22; 2θ 26.2, I 52; 2θ 26.5, I 100; 2θ 29.2, I 16; 2θ 37.6, I 68; 2θ 39.7, I 19; 2θ 48.2, I 19; 2θ 54.6, I 15

Cell and atoms:
Cell lengths 9.5896, 9.5896, 9.5896 Å; angles 123.54, 117.09, 89.54 degrees
Positions (direct):
Rb: 0.0000 0.0000 0.0000
Rb: 0.5000 0.0000 0.0000
Rb: 0.5000 0.0000 0.5000
Rb: 0.5000 0.5000 0.5000
Ac: 0.0000 0.5000 0.5000
Ac: 0.5000 0.5000 0.0000
Al: 0.0000 0.0000 0.5000
Al: 0.0000 0.5000 0.0000
Te: 0.1857 0.7447 0.4409
Te: 0.1962 0.2553 0.9409
Te: 0.2217 0.2351 0.5134
Te: 0.2217 0.7083 0.9866
Te: 0.7783 0.2917 0.0134
Te: 0.7783 0.7649 0.4866
Te: 0.8038 0.7447 0.0591
Te: 0.8143 0.2553 0.5591